The following is a computed X-ray diffraction stick pattern of TaTi4. It was derived from a PBE-relaxed structure, using CuKα.
No peak broadening, texture or thermal motion is included.

Top 10 peaks for 2θ = 10–80°, by angle:
(0 1 0), 2θ = 12.3°, d = 7.217 Å, I = 55; (1 0 0), 2θ = 18.5°, d = 4.788 Å, I = 61; (1 1 0), 2θ = 22.3°, d = 3.990 Å, I = 59; (0 2 1), 2θ = 31.3°, d = 2.857 Å, I = 52; (1 1 1), 2θ = 34.2°, d = 2.619 Å, I = 51; (2 1 -1), 2θ = 36.5°, d = 2.462 Å, I = 62; (1 1 -2), 2θ = 37.2°, d = 2.416 Å, I = 49; (1 2 1), 2θ = 40.7°, d = 2.217 Å, I = 100; (2 2 -1), 2θ = 42.7°, d = 2.120 Å, I = 53; (1 3 -1), 2θ = 42.9°, d = 2.108 Å, I = 47

Crystal structure
```
TaTi4
1.0
5.2675 0.0000 0.0000
0.0000 7.2167 0.0000
-2.1436 0.0000 4.6758
Ta Ti
2 8
Cartesian
-0.5359 0.8730 1.1690
-1.6077 6.3437 3.5069
0.2121 3.1904 2.4451
1.2839 4.0263 0.1072
-0.2588 1.2961 4.3689
0.8130 5.9206 2.0310
2.3109 1.2961 2.6449
3.3827 5.9206 0.3070
1.8400 3.1904 4.5686
2.9118 4.0263 2.2307
```